Computed XRD peak list of La7Hg2Os for Cu Kα (λ = 1.5418 Å), from DFT lattice parameters and positions (PBE).
Peak positions follow from Bragg's law for the DFT cell and can differ from measured ones.

Most intense lines, 10° ≤ 2θ ≤ 90°, sorted by position:
(1 1 -3), 28.79°, I 25.6
(4 2 -2), 30.12°, I 100.0
(1 3 -1), 30.51°, I 24.5
(2 0 2), 31.01°, I 25.5
(3 3 0), 36.36°, I 28.1
(2 2 2), 36.86°, I 27.4

Atomic structure:
Unit cell a=15.7939 b=9.1340 c=10.8695 alpha=90.00 beta=126.54 gamma=90.00
Space group C2/c (No. 15)
Unique sites:
La: 0.0000 0.0730 0.2500 x4
La: 0.0804 0.3311 0.0922 x8
La: 0.1435 0.2772 0.8006 x8
La: 0.1897 0.3849 0.5067 x8
Hg: 0.1625 0.0166 0.6145 x8
Os: 0.0000 0.4979 0.2500 x4